# 1
This entry pairs a crystal structure of Pb5I2F8 with its theoretical powder diffractogram. Radiation: Cu Kα X-rays. Structure: the PBE geometry in Alexandria.
Neutral-atom scattering factors, no anomalous dispersion.

Cell and atoms:
a b c (Å): 19.484 19.484 19.484
angles (deg): 12.82 12.82 12.82
Sites, in units of the cell vectors:
Pb: 0.000 0.000 0.000
Pb: 0.087 0.087 0.087
Pb: 0.284 0.284 0.284
Pb: 0.470 0.470 0.470
Pb: 0.557 0.557 0.557
I: 0.715 0.715 0.715
I: 0.851 0.851 0.851
F: 0.134 0.134 0.134
F: 0.234 0.234 0.234
F: 0.328 0.328 0.328
F: 0.428 0.428 0.428
F: 0.597 0.597 0.597
F: 0.648 0.648 0.648
F: 0.783 0.783 0.783
F: 0.958 0.958 0.958

Peak list (6 most intense, 2θ = 5–70°, sorted by position)
d/Å	2θ/deg	I (rel.)
3.645	24.42	46
3.428	25.99	61
3.064	29.14	78
2.877	31.08	50
2.175	41.53	100
1.708	53.66	51



# 2
This entry pairs a crystal structure of UPbI2F6 with its theoretical powder diffractogram. Radiation: Cu Kα X-rays. Structure: the PBE geometry in Alexandria.
Neutral-atom scattering factors, no anomalous dispersion.

Cell and atoms:
a b c (Å): 6.807 6.807 6.807
angles (deg): 120.12 120.02 89.88
Sites, in units of the cell vectors:
U: 0.000 0.000 0.000
Pb: 0.500 0.500 0.000
I: 0.250 0.750 0.500
I: 0.750 0.250 0.500
F: 0.218 0.218 0.000
F: 0.219 0.219 0.437
F: 0.219 0.781 0.000
F: 0.781 0.219 0.000
F: 0.781 0.781 0.563
F: 0.782 0.782 0.000

Peak list (6 most intense, 2θ = 5–70°, sorted by position)
d/Å	2θ/deg	I (rel.)
4.812	18.44	13
3.402	26.19	100
2.406	37.38	29
1.964	46.21	43
1.702	53.88	16
1.521	60.92	14